Na2Mo3O13: simulated powder diffraction line list (a wavelength of 1.5418 Å), based on a PBE+U-relaxed structure.

Most intense lines, 2θ = 10–90°, low angle first:
| d/Å | two_theta | I_rel | h k l |
| --- | --- | --- | --- |
| 8.766 | 10.1 | 100.0 | 0 0 1 |
| 8.521 | 10.4 | 21.6 | 2 0 -1 |
| 6.740 | 13.1 | 34.5 | 2 0 0 |
| 4.260 | 20.9 | 32.1 | 4 0 -2 |
| 3.613 | 24.6 | 12.7 | 1 1 -1 |
| 3.589 | 24.8 | 36.4 | 4 0 -3 |
| 3.370 | 26.4 | 18.1 | 4 0 0 |
| 3.197 | 27.9 | 46.8 | 1 1 1 |
| 3.172 | 28.1 | 25.8 | 3 1 -1 |
| 3.086 | 28.9 | 26.7 | 1 1 -2 |
| 2.925 | 30.6 | 24.1 | 0 0 3 |
| 1.908 | 47.7 | 17.5 | 0 2 0 |

Cell and atoms:
a = 17.3193 Å, b = 3.8150 Å, c = 11.2626 Å
α = 90.00°, β = 128.89°, γ = 90.00°
Space group Cm (No. 8)
One atom of each set of equivalent atoms:
Na 0.0000 0.0000 0.0000 [2 per cell]
Na 0.1637 0.5000 0.6038 [2 per cell]
Mo 0.2441 0.5000 0.3329 [2 per cell]
Mo 0.4423 0.0000 0.6248 [2 per cell]
Mo 0.4533 0.5000 0.3120 [2 per cell]
O 0.0644 0.5000 0.6969 [2 per cell]
O 0.0757 0.0000 0.4906 [2 per cell]
O 0.1265 0.5000 0.1532 [2 per cell]
O 0.2151 0.5000 0.4568 [2 per cell]
O 0.2744 0.0000 0.9586 [2 per cell]
O 0.2953 0.0000 0.3952 [2 per cell]
O 0.3046 0.0000 0.8852 [2 per cell]
O 0.3212 0.5000 0.2543 [2 per cell]
O 0.3240 0.5000 0.8317 [2 per cell]
O 0.4135 0.5000 0.5670 [2 per cell]
O 0.4437 0.0000 0.3346 [2 per cell]
O 0.4487 0.0000 0.7851 [2 per cell]
O 0.4598 0.5000 0.1636 [2 per cell]